Simulated powder diffractogram of Li2VO2F3 for a wavelength of 1.5418 Å, from a cell relaxed with PBE+U.
Lines closer than 0.1° are merged.

```
Li2VO2F3
1.0
7.1666 0.0000 0.0000
0.0000 5.3989 0.0000
0.0000 0.0000 9.4610
Li V O F
8 4 8 12
Direct
0.0320 0.2500 0.2270
0.1413 0.2500 0.9347
0.3587 0.7500 0.4347
0.4680 0.7500 0.7270
0.5320 0.2500 0.2730
0.6413 0.2500 0.5653
0.8587 0.7500 0.0653
0.9680 0.7500 0.7730
0.2147 0.2500 0.5570
0.2853 0.7500 0.0570
0.7147 0.2500 0.9430
0.7853 0.7500 0.4430
0.1442 0.5079 0.0861
0.1442 0.9921 0.0861
0.3558 0.0079 0.5861
0.3558 0.4921 0.5861
0.6442 0.5079 0.4139
0.6442 0.9921 0.4139
0.8558 0.0079 0.9139
0.8558 0.4921 0.9139
0.0000 0.0000 0.5000
0.0000 0.5000 0.5000
0.1071 0.2500 0.7373
0.2454 0.7500 0.8514
0.2546 0.2500 0.3514
0.3929 0.7500 0.2373
0.5000 0.0000 0.0000
0.5000 0.5000 0.0000
0.6071 0.2500 0.7627
0.7454 0.7500 0.6486
0.7546 0.2500 0.1486
0.8929 0.7500 0.2627
```

Most intense lines, 2θ = 10–90°, by angle:
d 4.730, 18.76 deg, rel. 28, (0 0 2); d 3.948, 22.52 deg, rel. 21, (1 0 2); d 3.924, 22.66 deg, rel. 100, (1 1 1); d 3.583, 24.85 deg, rel. 13, (2 0 0); d 2.986, 29.93 deg, rel. 16, (2 1 0); d 2.246, 40.15 deg, rel. 17, (1 0 4); d 2.156, 41.90 deg, rel. 13, (2 2 0); d 2.129, 42.47 deg, rel. 13, (3 1 1)